1.
For CaCdHgF6, a cell relaxed with PBE gives the theoretical XRD peak list in this record (Cu Kα, 1.54184 Å).

Top 10 peaks for 2θ from 15° to 90°, sorted by position:
h k l, Position (°2θ), d_spacing, Rel. int.
1 0 1, 18.8, 4.730, 435
1 1 0, 24.0, 3.711, 1000
1 1 2, 29.1, 3.069, 163
1 0 3, 29.9, 2.990, 820
2 0 0, 34.2, 2.624, 208
2 1 1, 39.3, 2.295, 155
2 1 3, 46.0, 1.973, 750
2 2 0, 49.1, 1.856, 181
1 1 6, 56.3, 1.634, 186
3 0 3, 58.5, 1.577, 240

Structure:
```
CaCdHgF6
1.0
5.2487 0.0000 0.0000
0.0000 5.2487 0.0000
0.0000 0.0000 10.9164
Ca Cd Hg F
2 2 2 12
Cartesian
0.0000 0.0000 0.0000
2.6244 2.6244 5.4582
0.0000 0.0000 7.2691
2.6244 2.6244 1.8109
0.0000 0.0000 3.6325
2.6244 2.6244 9.0907
0.9881 0.9881 9.0880
1.0207 1.0207 5.5073
1.0302 1.0302 1.7618
1.5941 3.6546 7.2200
1.6036 3.6451 0.0491
1.6362 3.6125 3.6298
3.6125 1.6362 3.6298
3.6451 1.6036 0.0491
3.6546 1.5941 7.2200
4.2185 4.2185 1.7618
4.2280 4.2280 5.5073
4.2606 4.2606 9.0880
```

2.
For KCa2CdF8, a cell relaxed with PBE gives the theoretical XRD peak list in this record (Cu Kα, 1.54184 Å).

Top 10 peaks for 2θ from 15° to 90°, sorted by position:
h k l, Position (°2θ), d_spacing, Rel. int.
0 1 1, 19.2, 4.617, 207
0 1 2, 27.0, 3.308, 831
1 1 0, 27.7, 3.223, 931
1 1 2, 35.4, 2.535, 129
0 0 4, 44.1, 2.053, 267
1 2 2, 45.5, 1.993, 1000
2 0 0, 46.0, 1.973, 263
1 1 4, 52.9, 1.731, 251
0 3 2, 54.1, 1.695, 349
2 0 4, 65.6, 1.422, 136

Structure:
```
KCa2CdF8
1.0
3.9460 0.0000 0.0000
0.0000 5.5840 0.0000
0.0000 0.0000 8.2111
K Ca Cd F
1 2 1 8
Cartesian
0.0000 0.0000 0.0000
1.9730 2.7920 2.2192
1.9730 2.7920 5.9919
0.0000 0.0000 4.1056
0.0000 1.4493 2.2466
0.0000 1.4493 5.9645
0.0000 4.1347 2.2466
0.0000 4.1347 5.9645
1.9730 1.3843 4.1056
1.9730 1.7272 0.0000
1.9730 3.8567 0.0000
1.9730 4.1997 4.1056
```

3.
For NaCa2CdF8, a cell relaxed with PBE gives the theoretical XRD peak list in this record (Cu Kα, 1.54184 Å).

Top 10 peaks for 2θ from 15° to 90°, sorted by position:
h k l, Position (°2θ), d_spacing, Rel. int.
0 1 1, 19.9, 4.458, 313
1 1 0, 27.9, 3.192, 799
0 1 2, 28.1, 3.174, 781
1 1 1, 30.2, 2.956, 192
2 0 0, 46.0, 1.974, 267
0 0 4, 46.4, 1.957, 255
1 2 2, 46.8, 1.941, 1000
2 1 2, 54.8, 1.676, 219
1 1 4, 55.0, 1.668, 217
0 3 2, 56.0, 1.643, 204

Structure:
```
NaCa2CdF8
1.0
3.9488 0.0000 0.0000
0.0000 5.4240 0.0000
0.0000 0.0000 7.8269
Na Ca Cd F
1 2 1 8
Cartesian
0.0000 0.0000 0.0000
1.9744 2.7120 1.9567
1.9744 2.7120 5.8702
0.0000 0.0000 3.9135
0.0000 1.3797 2.0483
0.0000 1.3797 5.7786
0.0000 4.0443 2.0483
0.0000 4.0443 5.7786
1.9744 1.3479 3.9135
1.9744 1.4197 0.0000
1.9744 4.0043 0.0000
1.9744 4.0761 3.9135
```